Calculated powder XRD pattern
Compound: Rb2MnF7
Radiation: Cu Ka
Structure: a structure optimized by DFT (GGA+U)

Cell and atoms:
a b c (Å): 6.475 6.475 8.258
angles (deg): 90.00 90.00 90.00
Space group I4/mmm (No. 139)
Asymmetric unit:
Rb  0.000  0.500  0.250 [4 per cell]
Mn  0.000  0.000  0.000 [2 per cell]
F  0.000  0.000  0.225 [4 per cell]
F  0.000  0.000  0.500 [2 per cell]
F  0.201  0.201  0.000 [8 per cell]

Peak list (10 most intense, 2θ = 5–70°, by intensity)
two_theta, I (rel.)
29.1, 100.0
27.6, 60.7
39.4, 52.2
35.2, 49.6
17.4, 34.8
49.7, 34.4
60.4, 25.0
43.9, 20.7
52.6, 17.9
64.3, 13.8